Record 1
Starting from DFT lattice parameters and positions (PBE), the X-ray powder pattern of In5Hg3Pb was computed for Cu Kα (λ = 1.5418 Å).
Intensities are scaled so that the largest is 100.

Crystal structure
```
data_In5Hg3Pb
_cell_length_a 9.3651
_cell_length_b 9.3651
_cell_length_c 6.4484
_cell_angle_alpha 90.00
_cell_angle_beta 90.00
_cell_angle_gamma 120.00
_symmetry_space_group_name_H-M 'P 1'
_symmetry_Int_Tables_number 1
_symmetry_space_group_name_Hall 'P 1'
loop_
_atom_site_label
_atom_site_fract_x
_atom_site_fract_y
_atom_site_fract_z
In1 0.0000 0.3421 0.2500
In2 0.0000 0.6579 0.7500
In3 0.3333 0.6667 0.0000
In4 0.3333 0.6667 0.5000
In5 0.3421 0.0000 0.2500
In6 0.3421 0.3421 0.7500
In7 0.6579 0.0000 0.7500
In8 0.6579 0.6579 0.2500
In9 0.6667 0.3333 0.0000
In10 0.6667 0.3333 0.5000
Hg1 0.0000 0.3302 0.7500
Hg2 0.0000 0.6698 0.2500
Hg3 0.3302 0.0000 0.7500
Hg4 0.3302 0.3302 0.2500
Hg5 0.6698 0.0000 0.2500
Hg6 0.6698 0.6698 0.7500
Pb1 0.0000 0.0000 0.0000
Pb2 0.0000 0.0000 0.5000
```

The 10 most intense peaks (2θ = 15–90°), in order of rising 2θ:
| two_theta | Rel. int. |
| --- | --- |
| 33.14 | 100 |
| 33.75 | 83 |
| 43.70 | 13 |
| 48.02 | 31 |
| 59.20 | 19 |
| 59.59 | 32 |
| 67.67 | 26 |
| 69.54 | 12 |
| 79.58 | 14 |
| 86.86 | 13 |

***

Record 2
Starting from DFT lattice parameters and positions (PBE), the X-ray powder pattern of BeCoNi was computed for Cu Kα (λ = 1.5418 Å).
Intensities are scaled so that the largest is 100.

Crystal structure
```
data_BeCoNi
_cell_length_a 4.7813
_cell_length_b 4.7813
_cell_length_c 4.7813
_cell_angle_alpha 149.13
_cell_angle_beta 149.13
_cell_angle_gamma 44.23
_symmetry_space_group_name_H-M 'P 1'
_symmetry_Int_Tables_number 1
_symmetry_space_group_name_Hall 'P 1'
loop_
_atom_site_label
_atom_site_fract_x
_atom_site_fract_y
_atom_site_fract_z
Be1 0.0000 0.0000 0.0000
Co1 0.6554 0.6554 0.0000
Ni1 0.3484 0.3484 0.0000
```

The 10 most intense peaks (2θ = 15–90°), in order of rising 2θ:
| two_theta | Rel. int. |
| --- | --- |
| 20.05 | 21 |
| 36.74 | 56 |
| 40.74 | 19 |
| 47.14 | 100 |
| 50.72 | 42 |
| 62.95 | 8 |
| 67.00 | 15 |
| 74.57 | 12 |
| 84.96 | 13 |
| 85.73 | 11 |

***

Record 3
Starting from DFT lattice parameters and positions (PBE), the X-ray powder pattern of Li9Cd2Cu was computed for Cu Kα (λ = 1.5418 Å).
Intensities are scaled so that the largest is 100.

Crystal structure
```
data_Li9Cd2Cu
_cell_length_a 5.0968
_cell_length_b 5.4647
_cell_length_c 7.6982
_cell_angle_alpha 82.94
_cell_angle_beta 84.95
_cell_angle_gamma 83.81
_symmetry_space_group_name_H-M 'P 1'
_symmetry_Int_Tables_number 1
_symmetry_space_group_name_Hall 'P 1'
loop_
_atom_site_label
_atom_site_fract_x
_atom_site_fract_y
_atom_site_fract_z
Li1 0.0000 0.0000 0.0000
Li2 0.0408 0.9609 0.3430
Li3 0.0853 0.4870 0.1621
Li4 0.2632 0.4684 0.5177
Li5 0.4270 0.7232 0.8103
Li6 0.5730 0.2768 0.1897
Li7 0.7368 0.5316 0.4823
Li8 0.9147 0.5130 0.8379
Li9 0.9592 0.0391 0.6570
Cd1 0.4661 0.2086 0.8321
Cd2 0.5339 0.7914 0.1679
Cu1 0.5000 0.0000 0.5000
```

The 10 most intense peaks (2θ = 15–90°), in order of rising 2θ:
| two_theta | Rel. int. |
| --- | --- |
| 16.42 | 22 |
| 17.55 | 100 |
| 19.03 | 23 |
| 21.24 | 40 |
| 22.90 | 18 |
| 27.06 | 21 |
| 28.17 | 28 |
| 35.33 | 27 |
| 35.54 | 19 |
| 38.44 | 21 |